Entry 1:
Starting from a cell relaxed with GGA-PBE, the powder diffraction line list of Pm2Hg7 was computed for Cu Kα (weighted mean of Kα1 and Kα2).
Neutral-atom scattering factors, no anomalous dispersion.

Principal peaks in the range 2θ from 5° to 70°, by angle:
h k l  2θ (°)  I/Imax
2 0 -3  33.7  26
0 2 0  34.2  26
3 1 0  34.7  100
2 2 -3  48.8  19
5 1 -3  60.9  10
3 3 0  61.5  20

Atomic structure:
Cell: 8.923 5.249 9.612 Å, 90.00 92.58 90.00°
Space group C2/m (No. 12)
Asymmetric unit:
Pm (0.164, 0.000, 0.272) [4 per cell]
Hg (0.000, 0.500, 0.500) [2 per cell]
Hg (0.005, 0.500, 0.840) [4 per cell]
Hg (0.167, 0.000, 0.604) [4 per cell]
Hg (0.170, 0.000, 0.929) [4 per cell]

***

Entry 2:
Starting from a cell relaxed with GGA-PBE, the powder diffraction line list of PmHg4 was computed for Cu Kα (weighted mean of Kα1 and Kα2).
Neutral-atom scattering factors, no anomalous dispersion.

Principal peaks in the range 2θ from 5° to 70°, by angle:
h k l  2θ (°)  I/Imax
1 2 0  24.7  25
1 2 1  30.0  35
0 0 2  33.8  53
2 0 1  36.3  57
1 3 1  36.9  100
3 3 2  68.4  32

Atomic structure:
Cell: 5.596 9.434 5.300 Å, 90.00 90.00 90.00°
Space group Pbam (No. 55)
Asymmetric unit:
Pm (0.000, 0.000, 0.000) [2 per cell]
Hg (0.004, 0.340, 0.000) [4 per cell]
Hg (0.171, 0.159, 0.500) [4 per cell]

***

Entry 3:
Starting from a cell relaxed with GGA-PBE, the powder diffraction line list of Pm3Hg8 was computed for Cu Kα (weighted mean of Kα1 and Kα2).
Neutral-atom scattering factors, no anomalous dispersion.

Principal peaks in the range 2θ from 5° to 70°, by angle:
h k l  2θ (°)  I/Imax
2 0 3  33.2  47
1 1 -4  33.4  92
0 2 0  35.3  51
3 1 -1  35.6  100
2 2 3  49.3  31
5 1 2  62.2  31

Atomic structure:
Cell: 8.722 5.078 12.811 Å, 90.00 102.51 90.00°
Space group C2/m (No. 12)
Asymmetric unit:
Pm (0.000, 0.000, 0.000) [2 per cell]
Pm (0.049, 0.500, 0.648) [4 per cell]
Hg (0.085, 0.000, 0.256) [4 per cell]
Hg (0.136, 0.500, 0.909) [4 per cell]
Hg (0.167, 0.000, 0.500) [4 per cell]
Hg (0.226, 0.500, 0.179) [4 per cell]

***

Entry 4:
Starting from a cell relaxed with GGA-PBE, the powder diffraction line list of Pm3Hg was computed for Cu Kα (weighted mean of Kα1 and Kα2).
Neutral-atom scattering factors, no anomalous dispersion.

Principal peaks in the range 2θ from 5° to 70°, by angle:
h k l  2θ (°)  I/Imax
0 0 4  30.6  23
1 1 2  32.1  100
0 2 0  32.5  32
0 2 4  45.2  18
1 1 6  55.3  13
1 3 2  57.7  20

Atomic structure:
Cell: 3.880 5.514 11.696 Å, 90.00 90.00 90.00°
Space group Immm (No. 71)
Asymmetric unit:
Pm (0.000, 0.000, 0.000) [2 per cell]
Pm (0.000, 0.500, 0.219) [4 per cell]
Hg (0.000, 0.000, 0.500) [2 per cell]